The following is a simulated XRD peak list of La4Ni19Sn. It was derived from a structure optimized by DFT (PBE), using a wavelength of 1.5418 Å.
Peak positions follow from Bragg's law for the DFT cell and can differ from measured ones.

Main lines, low angle first (10° ≤ 2θ ≤ 90°):
| h k l | 2θ/deg | I (rel.) |
| --- | --- | --- |
| 1 2 0 | 24.5 | 29 |
| 1 2 2 | 30.2 | 25 |
| 0 0 4 | 35.2 | 46 |
| 0 6 2 | 35.5 | 35 |
| 0 4 4 | 41.0 | 46 |
| 0 8 0 | 41.3 | 29 |
| 1 0 4 | 42.0 | 44 |
| 1 6 2 | 42.3 | 100 |
| 2 0 0 | 45.4 | 60 |
| 1 4 4 | 47.1 | 38 |

Atomic structure:
```
data_La4Ni19Sn
_chemical_formula_sum 'La8 Ni38 Sn2'
_space_group_name_H-M_alt 'A m m 2'
_space_group_IT_number 38
_space_group_name_Hall 'A 2 -2'
_cell_length_a 3.9919
_cell_length_b 17.4959
_cell_length_c 10.2004
_cell_angle_alpha 90.00
_cell_angle_beta 90.00
_cell_angle_gamma 90.00
loop_
_atom_site_label
_atom_site_fract_x
_atom_site_fract_y
_atom_site_fract_z
_atom_site_occupancy
La1 0.0000 0.0000 0.0000 1
La2 0.0000 0.2486 0.7691 1
La3 0.5000 0.0000 0.5460 1
Ni1 0.0000 0.0816 0.7535 1
Ni2 0.0000 0.0896 0.2810 1
Ni3 0.0000 0.1581 0.5191 1
Ni4 0.0000 0.1689 0.0185 1
Ni5 0.5000 0.0000 0.7947 1
Ni6 0.5000 0.1273 0.8947 1
Ni7 0.5000 0.1296 0.1380 1
Ni8 0.5000 0.1331 0.3911 1
Ni9 0.5000 0.1375 0.6541 1
Ni10 0.5000 0.2502 0.0172 1
Sn1 0.5000 0.0000 0.2468 1
```

The following is a simulated XRD peak list of Sm2H5. It was derived from a structure optimized by DFT (PBE), using a wavelength of 1.5418 Å.
Peak positions follow from Bragg's law for the DFT cell and can differ from measured ones.

Main lines, low angle first (10° ≤ 2θ ≤ 90°):
| h k l | 2θ/deg | I (rel.) |
| --- | --- | --- |
| 1 1 2 | 29.2 | 100 |
| 0 0 4 | 33.6 | 17 |
| 2 0 0 | 33.9 | 33 |
| 2 0 4 | 48.5 | 26 |
| 2 2 0 | 48.7 | 13 |
| 1 1 6 | 57.4 | 15 |
| 3 1 2 | 57.8 | 29 |
| 2 2 4 | 60.5 | 13 |
| 3 1 6 | 78.5 | 12 |
| 3 3 2 | 78.9 | 6 |

Atomic structure:
```
data_Sm2H5
_chemical_formula_sum 'Sm8 H20'
_space_group_name_H-M_alt 'I 41 m d'
_space_group_IT_number 109
_space_group_name_Hall 'I 4bw -2'
_cell_length_a 5.2857
_cell_length_b 5.2857
_cell_length_c 10.6720
_cell_angle_alpha 90.00
_cell_angle_beta 90.00
_cell_angle_gamma 90.00
loop_
_atom_site_label
_atom_site_fract_x
_atom_site_fract_y
_atom_site_fract_z
_atom_site_occupancy
Sm1 0.0000 0.0000 0.0000 1
Sm2 0.0000 0.0000 0.4928 1
H1 0.0000 0.0000 0.2453 1
H2 0.2307 0.2503 0.8714 1
```

The following is a simulated XRD peak list of Nb3SeI6Br. It was derived from a structure optimized by DFT (PBE), using a wavelength of 1.5418 Å.
Peak positions follow from Bragg's law for the DFT cell and can differ from measured ones.

Main lines, low angle first (10° ≤ 2θ ≤ 90°):
| h k l | 2θ/deg | I (rel.) |
| --- | --- | --- |
| 0 0 1 | 12.3 | 30 |
| 0 1 1 | 18.3 | 9 |
| 0 0 2 | 24.7 | 14 |
| 2 0 1 | 29.9 | 100 |
| 2 0 2 | 37.0 | 40 |
| 0 2 3 | 46.8 | 26 |
| 2 2 0 | 47.9 | 23 |
| 2 2 2 | 54.6 | 14 |
| 0 4 1 | 57.5 | 14 |
| 2 4 1 | 78.0 | 12 |

Atomic structure:
```
data_Nb3SeI6Br
_chemical_formula_sum 'Nb3 Se1 I6 Br1'
_space_group_name_H-M_alt 'P 3 m 1'
_space_group_IT_number 156
_space_group_name_Hall 'P 3 -2"'
_cell_length_a 7.5927
_cell_length_b 7.5927
_cell_length_c 7.2176
_cell_angle_alpha 90.00
_cell_angle_beta 90.00
_cell_angle_gamma 120.00
loop_
_atom_site_label
_atom_site_fract_x
_atom_site_fract_y
_atom_site_fract_z
_atom_site_occupancy
Nb1 0.0682 0.5341 0.0000 1
Se1 0.3333 0.6667 0.2573 1
I1 0.1640 0.3280 0.7409 1
I2 0.3289 0.1645 0.2187 1
Br1 0.6667 0.3333 0.8219 1
```

The following is a simulated XRD peak list of DyTmCS. It was derived from a structure optimized by DFT (PBE), using a wavelength of 1.5418 Å.
Peak positions follow from Bragg's law for the DFT cell and can differ from measured ones.

Main lines, low angle first (10° ≤ 2θ ≤ 90°):
| h k l | 2θ/deg | I (rel.) |
| --- | --- | --- |
| 0 0 4 | 27.9 | 20 |
| 1 0 0 | 28.0 | 31 |
| 1 0 1 | 28.9 | 40 |
| 1 0 3 | 35.2 | 100 |
| 1 0 4 | 40.0 | 15 |
| 1 1 0 | 49.6 | 30 |
| 1 1 4 | 57.9 | 21 |
| 1 0 7 | 58.2 | 18 |
| 2 0 3 | 62.3 | 19 |
| 2 1 3 | 83.5 | 17 |

Atomic structure:
```
data_DyTmCS
_chemical_formula_sum 'Dy2 Tm2 C2 S2'
_space_group_name_H-M_alt 'P -6 m 2'
_space_group_IT_number 187
_space_group_name_Hall 'P -6 2'
_cell_length_a 3.6741
_cell_length_b 3.6741
_cell_length_c 12.7918
_cell_angle_alpha 90.00
_cell_angle_beta 90.00
_cell_angle_gamma 120.00
loop_
_atom_site_label
_atom_site_fract_x
_atom_site_fract_y
_atom_site_fract_z
_atom_site_occupancy
Dy1 0.0000 0.0000 0.1478 1
Tm1 0.6667 0.3333 0.3554 1
C1 0.3333 0.6667 0.2534 1
S1 0.0000 0.0000 0.5000 1
S2 0.6667 0.3333 0.0000 1
```

The following is a simulated XRD peak list of GdTaNO. It was derived from a structure optimized by DFT (PBE), using a wavelength of 1.5418 Å.
Peak positions follow from Bragg's law for the DFT cell and can differ from measured ones.

Main lines, low angle first (10° ≤ 2θ ≤ 90°):
| h k l | 2θ/deg | I (rel.) |
| --- | --- | --- |
| 1 2 0 | 27.5 | 48 |
| 1 2 1 | 32.7 | 100 |
| 2 0 1 | 33.4 | 60 |
| 0 0 2 | 35.0 | 45 |
| 1 2 2 | 45.0 | 24 |
| 3 1 1 | 48.4 | 15 |
| 3 2 0 | 49.7 | 20 |
| 2 4 1 | 59.8 | 15 |
| 1 2 3 | 61.3 | 19 |
| 3 2 2 | 62.2 | 19 |

Atomic structure:
```
data_GdTaNO
_chemical_formula_sum 'Gd4 Ta4 N4 O4'
_space_group_name_H-M_alt 'P c a 21'
_space_group_IT_number 29
_space_group_name_Hall 'P 2c -2ac'
_cell_length_a 6.2915
_cell_length_b 7.5746
_cell_length_c 5.1310
_cell_angle_alpha 90.00
_cell_angle_beta 90.00
_cell_angle_gamma 90.00
loop_
_atom_site_label
_atom_site_fract_x
_atom_site_fract_y
_atom_site_fract_z
_atom_site_occupancy
Gd1 0.0617 0.1398 0.0000 1
Ta1 0.1271 0.6581 0.0025 1
N1 0.0711 0.1479 0.5033 1
O1 0.0660 0.5510 0.6266 1
```

The following is a simulated XRD peak list of Pr2DyPdPt2Pb3. It was derived from a structure optimized by DFT (PBE), using a wavelength of 1.5418 Å.
Peak positions follow from Bragg's law for the DFT cell and can differ from measured ones.

Main lines, low angle first (10° ≤ 2θ ≤ 90°):
| h k l | 2θ/deg | I (rel.) |
| --- | --- | --- |
| 1 0 0 | 21.6 | 14 |
| 1 3 1 | 31.6 | 100 |
| 1 4 0 | 34.3 | 85 |
| 0 1 3 | 35.0 | 60 |
| 0 3 3 | 39.9 | 26 |
| 1 4 2 | 41.6 | 39 |
| 2 0 0 | 44.1 | 28 |
| 2 1 3 | 57.5 | 30 |
| 2 6 0 | 61.0 | 23 |
| 1 7 3 | 64.1 | 23 |

Atomic structure:
```
data_Pr2DyPdPt2Pb3
_chemical_formula_sum 'Pr4 Dy2 Pd2 Pt4 Pb6'
_space_group_name_H-M_alt 'A m m 2'
_space_group_IT_number 38
_space_group_name_Hall 'A 2 -2'
_cell_length_a 4.1059
_cell_length_b 13.5277
_cell_length_c 7.8353
_cell_angle_alpha 90.00
_cell_angle_beta 90.00
_cell_angle_gamma 90.00
loop_
_atom_site_label
_atom_site_fract_x
_atom_site_fract_y
_atom_site_fract_z
_atom_site_occupancy
Pr1 0.0000 0.2051 0.0000 1
Dy1 0.0000 0.0000 0.6157 1
Pd1 0.0000 0.0000 0.2128 1
Pt1 0.5000 0.1612 0.7026 1
Pb1 0.5000 0.0000 0.9497 1
Pb2 0.5000 0.1279 0.3346 1
```

The following is a simulated XRD peak list of Cu5Ag4. It was derived from a structure optimized by DFT (PBE), using a wavelength of 1.5418 Å.
Peak positions follow from Bragg's law for the DFT cell and can differ from measured ones.

Main lines, low angle first (10° ≤ 2θ ≤ 90°):
| h k l | 2θ/deg | I (rel.) |
| --- | --- | --- |
| 6 0 -1 | 39.8 | 50 |
| 0 0 3 | 40.1 | 53 |
| 3 1 1 | 40.7 | 100 |
| 3 1 -2 | 44.5 | 78 |
| 6 0 2 | 51.4 | 18 |
| 6 0 -4 | 63.7 | 13 |
| 0 2 0 | 65.9 | 12 |
| 9 1 0 | 70.2 | 13 |
| 6 2 -1 | 79.9 | 12 |
| 0 2 3 | 80.0 | 14 |

Atomic structure:
```
data_Cu5Ag4
_chemical_formula_sum 'Cu10 Ag8'
_space_group_name_H-M_alt 'C 1 m 1'
_space_group_IT_number 8
_space_group_name_Hall 'C -2y'
_cell_length_a 13.8480
_cell_length_b 2.8336
_cell_length_c 6.8214
_cell_angle_alpha 90.00
_cell_angle_beta 98.23
_cell_angle_gamma 90.00
loop_
_atom_site_label
_atom_site_fract_x
_atom_site_fract_y
_atom_site_fract_z
_atom_site_occupancy
Cu1 0.0000 0.0000 0.0000 1
Cu2 0.0629 0.5000 0.3071 1
Cu3 0.2827 0.5000 0.7211 1
Cu4 0.3478 0.0000 0.0185 1
Cu5 0.4136 0.5000 0.3126 1
Ag1 0.1143 0.0000 0.6471 1
Ag2 0.1727 0.5000 0.0148 1
Ag3 0.2501 0.0000 0.3697 1
Ag4 0.4377 0.0000 0.6581 1
```

The following is a simulated XRD peak list of ZrNbSnN. It was derived from a structure optimized by DFT (PBE), using a wavelength of 1.5418 Å.
Peak positions follow from Bragg's law for the DFT cell and can differ from measured ones.

Main lines, low angle first (10° ≤ 2θ ≤ 90°):
| h k l | 2θ/deg | I (rel.) |
| --- | --- | --- |
| 1 0 0 | 31.2 | 22 |
| 1 0 3 | 36.7 | 100 |
| 0 0 6 | 38.3 | 17 |
| 0 1 6 | 50.2 | 15 |
| 1 1 0 | 55.6 | 22 |
| 2 0 0 | 65.1 | 3 |
| 1 0 9 | 68.2 | 13 |
| 0 2 3 | 68.5 | 16 |
| 1 1 6 | 69.5 | 18 |
| 2 0 6 | 78.1 | 4 |

Atomic structure:
```
data_ZrNbSnN
_chemical_formula_sum 'Zr2 Nb2 Sn2 N2'
_space_group_name_H-M_alt 'P -3 m 1'
_space_group_IT_number 164
_space_group_name_Hall '-P 3 2"'
_cell_length_a 3.3073
_cell_length_b 3.3073
_cell_length_c 14.1077
_cell_angle_alpha 90.00
_cell_angle_beta 90.00
_cell_angle_gamma 120.00
loop_
_atom_site_label
_atom_site_fract_x
_atom_site_fract_y
_atom_site_fract_z
_atom_site_occupancy
Zr1 0.3333 0.6667 0.0888 1
Nb1 0.3333 0.6667 0.4231 1
Sn1 0.3333 0.6667 0.7397 1
N1 0.0000 0.0000 0.0000 1
N2 0.0000 0.0000 0.5000 1
```

The following is a simulated XRD peak list of ZnBr2O8. It was derived from a structure optimized by DFT (PBE), using a wavelength of 1.5418 Å.
Peak positions follow from Bragg's law for the DFT cell and can differ from measured ones.

Main lines, low angle first (10° ≤ 2θ ≤ 90°):
| h k l | 2θ/deg | I (rel.) |
| --- | --- | --- |
| 0 0 3 | 12.7 | 19 |
| 1 0 1 | 21.6 | 30 |
| 0 1 2 | 22.9 | 44 |
| 1 0 4 | 27.3 | 100 |
| 0 1 5 | 30.2 | 20 |
| 1 1 0 | 37.1 | 43 |
| 0 1 8 | 40.7 | 32 |
| 0 2 4 | 46.7 | 21 |
| 2 1 4 | 61.1 | 19 |
| 1 1 12 | 66.1 | 23 |

Atomic structure:
```
data_ZnBr2O8
_chemical_formula_sum 'Zn3 Br6 O24'
_space_group_name_H-M_alt 'R -3'
_space_group_IT_number 148
_space_group_name_Hall '-R 3'
_cell_length_a 4.8408
_cell_length_b 4.8408
_cell_length_c 20.8906
_cell_angle_alpha 90.00
_cell_angle_beta 90.00
_cell_angle_gamma 120.00
loop_
_atom_site_label
_atom_site_fract_x
_atom_site_fract_y
_atom_site_fract_z
_atom_site_occupancy
Zn1 0.0000 0.0000 0.0000 1
Br1 0.0000 0.0000 0.2456 1
O1 0.0000 0.0000 0.1687 1
O2 0.0081 0.6589 0.9406 1
```

The following is a simulated XRD peak list of TlAg7. It was derived from a structure optimized by DFT (PBE), using a wavelength of 1.5418 Å.
Peak positions follow from Bragg's law for the DFT cell and can differ from measured ones.

Main lines, low angle first (10° ≤ 2θ ≤ 90°):
| h k l | 2θ/deg | I (rel.) |
| --- | --- | --- |
| 0 1 9 | 33.0 | 19 |
| 0 1 10 | 35.0 | 23 |
| 0 1 11 | 37.2 | 77 |
| 1 1 0 | 38.6 | 100 |
| 1 0 9 | 39.3 | 12 |
| 1 0 10 | 41.0 | 15 |
| 1 0 11 | 42.9 | 51 |
| 0 2 0 | 46.1 | 30 |
| 1 2 11 | 64.8 | 29 |
| 2 1 11 | 76.6 | 21 |

Atomic structure:
```
data_TlAg7
_chemical_formula_sum 'Tl2 Ag14'
_space_group_name_H-M_alt 'P m m n'
_space_group_IT_number 59
_cell_length_a 2.9005
_cell_length_b 3.9397
_cell_length_c 33.7294
_cell_angle_alpha 90.00
_cell_angle_beta 90.00
_cell_angle_gamma 90.00
loop_
_space_group_symop_operation_xyz
'x,y,z'
'-x,-y,-z'
'-x+1/2,-y+1/2,z'
'x+1/2,y+1/2,-z'
'x+1/2,-y,-z'
'-x+1/2,y,z'
'-x,y+1/2,-z'
'x,-y+1/2,z'
loop_
_atom_site_label
_atom_site_fract_x
_atom_site_fract_y
_atom_site_fract_z
_atom_site_occupancy
Tl1 0.2500 0.2500 0.1425 1
Ag1 0.2500 0.2500 0.2501 1
Ag2 0.2500 0.2500 0.3415 1
Ag3 0.2500 0.2500 0.4325 1
Ag4 0.2500 0.2500 0.5223 1
Ag5 0.2500 0.2500 0.6129 1
Ag6 0.2500 0.2500 0.7039 1
Ag7 0.2500 0.2500 0.7958 1
```

The following is a simulated XRD peak list of Dy2Ho2Br5N. It was derived from a structure optimized by DFT (PBE), using a wavelength of 1.5418 Å.
Peak positions follow from Bragg's law for the DFT cell and can differ from measured ones.

Main lines, low angle first (10° ≤ 2θ ≤ 90°):
| h k l | 2θ/deg | I (rel.) |
| --- | --- | --- |
| 2 0 0 | 10.4 | 32 |
| 0 0 1 | 11.3 | 56 |
| 3 1 -1 | 29.5 | 19 |
| 6 0 0 | 31.5 | 44 |
| 3 1 1 | 32.2 | 26 |
| 1 1 -2 | 32.8 | 100 |
| 6 0 -2 | 34.5 | 25 |
| 5 1 0 | 35.7 | 35 |
| 5 1 2 | 46.1 | 51 |
| 0 2 0 | 48.9 | 18 |

Atomic structure:
```
data_Dy2Ho2Br5N
_chemical_formula_sum 'Dy4 Ho4 Br10 N2'
_space_group_name_H-M_alt 'C 1 2/m 1'
_space_group_IT_number 12
_space_group_name_Hall '-C 2y'
_cell_length_a 17.5146
_cell_length_b 3.7254
_cell_length_c 8.0321
_cell_angle_alpha 90.00
_cell_angle_beta 103.26
_cell_angle_gamma 90.00
loop_
_atom_site_label
_atom_site_fract_x
_atom_site_fract_y
_atom_site_fract_z
_atom_site_occupancy
Dy1 0.1368 0.0000 0.0702 1
Ho1 0.0008 0.5000 0.8016 1
Br1 0.0000 0.0000 0.5000 1
Br2 0.1635 0.5000 0.3452 1
Br3 0.1694 0.5000 0.8213 1
N1 0.0000 0.0000 0.0000 1
```

The following is a simulated XRD peak list of B6Au. It was derived from a structure optimized by DFT (PBE), using a wavelength of 1.5418 Å.
Peak positions follow from Bragg's law for the DFT cell and can differ from measured ones.

Main lines, low angle first (10° ≤ 2θ ≤ 90°):
| h k l | 2θ/deg | I (rel.) |
| --- | --- | --- |
| 1 0 0 | 21.4 | 76 |
| 1 1 0 | 30.5 | 100 |
| 1 1 1 | 37.6 | 42 |
| 2 0 0 | 43.6 | 21 |
| 2 1 0 | 49.1 | 52 |
| 2 1 1 | 54.2 | 31 |
| 2 2 1 | 67.8 | 28 |
| 3 1 0 | 72.0 | 20 |
| 3 1 1 | 76.1 | 14 |
| 3 2 1 | 88.1 | 20 |

Atomic structure:
```
data_B6Au
_chemical_formula_sum 'B6 Au1'
_space_group_name_H-M_alt 'P m -3 m'
_space_group_IT_number 221
_space_group_name_Hall '-P 4 2 3'
_cell_length_a 4.1482
_cell_length_b 4.1482
_cell_length_c 4.1482
_cell_angle_alpha 90.00
_cell_angle_beta 90.00
_cell_angle_gamma 90.00
loop_
_atom_site_label
_atom_site_fract_x
_atom_site_fract_y
_atom_site_fract_z
_atom_site_occupancy
B1 0.0000 0.0000 0.3028 1
Au1 0.5000 0.5000 0.5000 1
```

Question: What is the formula in the fifth record?
Answer: GdTaNO

Please write out number 9 again, unchanged.
The following is a simulated XRD peak list of ZnBr2O8. It was derived from a structure optimized by DFT (PBE), using a wavelength of 1.5418 Å.
Peak positions follow from Bragg's law for the DFT cell and can differ from measured ones.

Main lines, low angle first (10° ≤ 2θ ≤ 90°):
| h k l | 2θ/deg | I (rel.) |
| --- | --- | --- |
| 0 0 3 | 12.7 | 19 |
| 1 0 1 | 21.6 | 30 |
| 0 1 2 | 22.9 | 44 |
| 1 0 4 | 27.3 | 100 |
| 0 1 5 | 30.2 | 20 |
| 1 1 0 | 37.1 | 43 |
| 0 1 8 | 40.7 | 32 |
| 0 2 4 | 46.7 | 21 |
| 2 1 4 | 61.1 | 19 |
| 1 1 12 | 66.1 | 23 |

Atomic structure:
```
data_ZnBr2O8
_chemical_formula_sum 'Zn3 Br6 O24'
_space_group_name_H-M_alt 'R -3'
_space_group_IT_number 148
_space_group_name_Hall '-R 3'
_cell_length_a 4.8408
_cell_length_b 4.8408
_cell_length_c 20.8906
_cell_angle_alpha 90.00
_cell_angle_beta 90.00
_cell_angle_gamma 120.00
loop_
_atom_site_label
_atom_site_fract_x
_atom_site_fract_y
_atom_site_fract_z
_atom_site_occupancy
Zn1 0.0000 0.0000 0.0000 1
Br1 0.0000 0.0000 0.2456 1
O1 0.0000 0.0000 0.1687 1
O2 0.0081 0.6589 0.9406 1
```